Computed X-ray diffraction stick pattern of Fe3CoNi3 for Cu Kα, from a cell relaxed with PBE.
Peak positions follow from Bragg's law for the DFT cell and can differ from measured ones.

Crystal structure
Cell: 6.9403 6.9403 6.9403 Å, 90.00 90.00 90.00°
Space group P2_13 (No. 198)
Asymmetric unit:
Fe 0.0438 0.3207 0.8685
Co 0.1402 0.6402 0.8598
Ni 0.0330 0.4670 0.5330
Ni 0.1556 0.8444 0.3444
Ni 0.1673 0.1673 0.1673

Largest 10 diffraction maxima, in order of rising 2θ, 2θ from 10° to 90°:
Position (°2θ)	I (rel.)	index
31.58	21.6	2 1 1
38.93	13.7	2 2 1
41.13	74.5	3 0 1
43.23	65.5	3 1 1
45.26	15.2	2 2 2
47.22	57.9	3 2 0
49.12	100.0	3 1 2
54.51	15.0	3 2 2
74.95	11.4	5 2 1
86.43	37.8	5 2 3